For Li2Mn2OF6, a cell relaxed with GGA+U gives the computed X-ray powder pattern in this record (CuKα).
Intensities are scaled so that the largest is 100.

Cell lengths 5.238, 5.238, 11.180 Å; angles 100.55, 100.55, 102.26 degrees
Sites, in units of the cell vectors:
Li1 0.184 0.816 0.500
Li2 0.236 0.831 0.084
Li3 0.816 0.184 0.000
Li4 0.831 0.236 0.584
Mn1 0.131 0.846 0.793
Mn2 0.349 0.396 0.235
Mn3 0.396 0.349 0.735
Mn4 0.846 0.131 0.293
O1 0.062 0.113 0.714
O2 0.113 0.062 0.214
F1 0.047 0.963 0.951
F2 0.116 0.474 0.096
F3 0.136 0.527 0.361
F4 0.163 0.609 0.638
F5 0.307 0.606 0.871
F6 0.474 0.116 0.596
F7 0.527 0.136 0.861
F8 0.589 0.730 0.240
F9 0.606 0.307 0.371
F10 0.609 0.163 0.138
F11 0.730 0.589 0.740
F12 0.963 0.047 0.451

Principal peaks in the range 10° ≤ 2θ ≤ 90°, sorted by position:
- 16.58°, rel. 100.0
- 17.82°, rel. 60.2
- 21.37°, rel. 26.5
- 23.34°, rel. 42.5
- 27.17°, rel. 24.2
- 28.40°, rel. 41.8
- 40.34°, rel. 27.1
- 46.83°, rel. 27.1